Simulated powder diffraction line list
Compound: TaGaCo
Radiation: Cu Ka
Structure: a PBE-relaxed structure
Peak positions follow from Bragg's law for the DFT cell and can differ from measured ones.

Structure:
abc: 4.148 4.148 6.871
angles: 114.02 114.02 62.05
Element x y z (fractional)
Ta: 0.000 0.000 0.000
Ta: 0.100 0.100 0.508
Ga: 0.441 0.441 0.231
Ga: 0.543 0.543 0.746
Co: 0.747 0.747 0.158
Co: 0.807 0.807 0.597

Main lines, by intensity (5° ≤ 2θ ≤ 70°):
d (Å)	2theta	Rel. int.
2.042	44.37	100
2.678	33.46	96
2.138	42.27	69
2.056	44.05	68
3.530	25.23	56
2.027	44.71	39
3.128	28.54	36
2.999	29.79	31
3.023	29.55	31
2.249	40.09	21